Record 1
Starting from a PBE-relaxed structure, the powder diffractogram of Zn4CN4 was calculated for Cu Ka.
Lines closer than 0.1° are merged.

Crystal structure
Cell lengths 9.844, 3.125, 13.858 Å; angles 90.00, 90.00, 90.00 degrees
Space group Pnma (No. 62)
Inequivalent atoms, fractional coordinates:
Zn: 0.100 0.250 0.171 x4
Zn: 0.108 0.750 0.362 x4
Zn: 0.117 0.750 0.979 x4
Zn: 0.154 0.250 0.792 x4
C: 0.132 0.750 0.557 x4
N: 0.003 0.250 0.893 x4
N: 0.036 0.750 0.613 x4
N: 0.217 0.250 0.283 x4
N: 0.228 0.750 0.498 x4

Principal peaks in the range 10 to 90 degrees two-theta, sorted by position:
- d 8.026, 11.02°, intensity 42
- d 2.668, 33.59°, intensity 28
- d 2.503, 35.87°, intensity 54
- d 2.464, 36.46°, intensity 100
- d 2.415, 37.23°, intensity 40
- d 2.032, 44.59°, intensity 60

---

Record 2
Starting from a PBE-relaxed structure, the powder diffractogram of BaSrGdNbO6 was calculated for Cu Ka.
Lines closer than 0.1° are merged.

Crystal structure
Cell lengths 5.991, 6.026, 8.496 Å; angles 90.31, 90.24, 90.26 degrees
Space group P-1 (No. 2)
Inequivalent atoms, fractional coordinates:
Ba: 0.006 0.026 0.250 x2
Sr: 0.494 0.532 0.251 x2
Gd: 0.000 0.500 0.500 x1
Gd: 0.500 0.000 0.000 x1
Nb: 0.000 0.500 0.000 x1
Nb: 0.500 0.000 0.500 x1
O: 0.077 0.508 0.766 x2
O: 0.203 0.766 0.036 x2
O: 0.236 0.795 0.466 x2
O: 0.270 0.302 0.039 x2
O: 0.304 0.273 0.462 x2
O: 0.438 0.022 0.734 x2

Principal peaks in the range 10 to 90 degrees two-theta, sorted by position:
- d 3.010, 29.68°, intensity 100
- d 2.993, 29.85°, intensity 49
- d 2.122, 42.61°, intensity 28
- d 1.741, 52.57°, intensity 15
- d 1.736, 52.73°, intensity 16
- d 1.732, 52.86°, intensity 21

---

Record 3
Starting from a PBE-relaxed structure, the powder diffractogram of Sm2CdIr was calculated for Cu Ka.
Lines closer than 0.1° are merged.

Crystal structure
Cell lengths 7.280, 7.280, 7.280 Å; angles 90.00, 90.00, 90.00 degrees
Space group Fm-3m (No. 225)
Inequivalent atoms, fractional coordinates:
Sm: 0.250 0.250 0.250 x8
Cd: 0.000 0.000 0.000 x4
Ir: 0.000 0.000 0.500 x4

Principal peaks in the range 10 to 90 degrees two-theta, sorted by position:
- d 4.203, 21.14°, intensity 3
- d 2.574, 34.86°, intensity 100
- d 1.820, 50.13°, intensity 18
- d 1.486, 62.51°, intensity 37
- d 1.287, 73.61°, intensity 11
- d 1.151, 84.10°, intensity 16

---

Record 4
Starting from a PBE-relaxed structure, the powder diffractogram of CeTm3 was calculated for Cu Ka.
Lines closer than 0.1° are merged.

Crystal structure
Cell lengths 4.940, 4.940, 9.826 Å; angles 90.00, 90.00, 90.00 degrees
Space group I4/mmm (No. 139)
Inequivalent atoms, fractional coordinates:
Ce: 0.000 0.000 0.000 x2
Tm: 0.000 0.000 0.500 x2
Tm: 0.000 0.500 0.250 x4

Principal peaks in the range 10 to 90 degrees two-theta, sorted by position:
- d 2.847, 31.42°, intensity 100
- d 2.470, 36.38°, intensity 34
- d 2.457, 36.58°, intensity 17
- d 1.742, 52.54°, intensity 24
- d 1.489, 62.38°, intensity 28
- d 1.483, 62.65°, intensity 14

---

Record 5
Starting from a PBE-relaxed structure, the powder diffractogram of Ce5O9 was calculated for Cu Ka.
Lines closer than 0.1° are merged.

Crystal structure
Cell lengths 6.776, 7.810, 8.729 Å; angles 76.88, 74.69, 73.27 degrees
Space group P-1 (No. 2)
Inequivalent atoms, fractional coordinates:
Ce: 0.022 0.245 0.480 x2
Ce: 0.205 0.066 0.084 x2
Ce: 0.210 0.537 0.087 x2
Ce: 0.370 0.359 0.689 x2
Ce: 0.396 0.854 0.701 x2
O: 0.015 0.433 0.659 x2
O: 0.022 0.975 0.667 x2
O: 0.140 0.354 0.946 x2
O: 0.177 0.840 0.967 x2
O: 0.261 0.249 0.237 x2
O: 0.327 0.659 0.531 x2
O: 0.351 0.152 0.540 x2
O: 0.468 0.524 0.835 x2
O: 0.471 0.075 0.839 x2

Principal peaks in the range 10 to 90 degrees two-theta, sorted by position:
- d 3.195, 27.92°, intensity 100
- d 3.181, 28.05°, intensity 98
- d 2.761, 32.43°, intensity 61
- d 1.957, 46.40°, intensity 33
- d 1.952, 46.54°, intensity 49
- d 1.666, 55.12°, intensity 28

---

Record 6
Starting from a PBE-relaxed structure, the powder diffractogram of K4Ho2MgNb10O30 was calculated for Cu Ka.
Lines closer than 0.1° are merged.

Crystal structure
Cell lengths 12.901, 3.970, 12.931 Å; angles 90.00, 90.91, 90.00 degrees
Space group Pm (No. 6)
Inequivalent atoms, fractional coordinates:
K: 0.000 0.000 0.000 x1
K: 0.146 0.000 0.508 x1
K: 0.476 0.000 0.843 x1
K: 0.660 0.000 0.363 x1
Ho: 0.287 0.000 0.188 x1
Ho: 0.846 0.000 0.691 x1
Mg: 0.695 0.000 0.056 x1
Nb: 0.043 0.500 0.750 x1
Nb: 0.099 0.500 0.260 x1
Nb: 0.251 0.500 0.963 x1
Nb: 0.320 0.500 0.671 x1
Nb: 0.392 0.500 0.385 x1
Nb: 0.518 0.500 0.091 x1
Nb: 0.604 0.500 0.594 x1
Nb: 0.747 0.500 0.870 x1
Nb: 0.831 0.500 0.170 x1
Nb: 0.879 0.500 0.467 x1
O: 0.015 0.000 0.745 x1
O: 0.033 0.500 0.386 x1
O: 0.112 0.500 0.885 x1
O: 0.121 0.000 0.236 x1
O: 0.158 0.500 0.659 x1
O: 0.216 0.500 0.114 x1
O: 0.248 0.500 0.304 x1
O: 0.249 0.000 0.987 x1
O: 0.312 0.500 0.817 x1
O: 0.318 0.000 0.660 x1
O: 0.319 0.500 0.506 x1
O: 0.390 0.000 0.344 x1
O: 0.404 0.500 0.995 x1
O: 0.432 0.500 0.207 x1
O: 0.477 0.500 0.671 x1
O: 0.528 0.500 0.448 x1
O: 0.541 0.000 0.075 x1
O: 0.614 0.000 0.592 x1
O: 0.617 0.500 0.938 x1
O: 0.669 0.500 0.144 x1
O: 0.714 0.500 0.709 x1
O: 0.739 0.500 0.501 x1
O: 0.756 0.000 0.854 x1
O: 0.817 0.000 0.153 x1
O: 0.818 0.500 0.004 x1
O: 0.827 0.500 0.316 x1
O: 0.890 0.000 0.476 x1
O: 0.892 0.500 0.800 x1
O: 0.934 0.500 0.612 x1
O: 0.983 0.500 0.158 x1

Principal peaks in the range 10 to 90 degrees two-theta, sorted by position:
- d 6.456, 13.72°, intensity 90
- d 3.970, 22.39°, intensity 47
- d 3.120, 28.61°, intensity 59
- d 2.854, 31.35°, intensity 94
- d 2.840, 31.50°, intensity 100
- d 1.985, 45.70°, intensity 65

---

Record 7
Starting from a PBE-relaxed structure, the powder diffractogram of Zr2FeB2Ru5 was calculated for Cu Ka.
Lines closer than 0.1° are merged.

Crystal structure
Cell lengths 9.356, 9.356, 3.078 Å; angles 90.00, 90.00, 90.00 degrees
Space group P4/mbm (No. 127)
Inequivalent atoms, fractional coordinates:
Zr: 0.176 0.324 0.000 x4
Fe: 0.000 0.000 0.000 x2
B: 0.124 0.624 0.000 x4
Ru: 0.000 0.500 0.500 x2
Ru: 0.070 0.786 0.500 x8

Principal peaks in the range 10 to 90 degrees two-theta, sorted by position:
- d 2.479, 36.23°, intensity 69
- d 2.269, 39.72°, intensity 85
- d 2.253, 40.01°, intensity 30
- d 2.133, 42.38°, intensity 100
- d 2.092, 43.25°, intensity 35
- d 1.984, 45.73°, intensity 38

---

Record 8
Starting from a PBE-relaxed structure, the powder diffractogram of Eu2ZnAg was calculated for Cu Ka.
Lines closer than 0.1° are merged.

Crystal structure
Cell lengths 7.624, 7.624, 7.624 Å; angles 90.00, 90.00, 90.00 degrees
Space group Fm-3m (No. 225)
Inequivalent atoms, fractional coordinates:
Eu: 0.250 0.250 0.250 x8
Zn: 0.000 0.000 0.000 x4
Ag: 0.000 0.000 0.500 x4

Principal peaks in the range 10 to 90 degrees two-theta, sorted by position:
- d 3.812, 23.34°, intensity 7
- d 2.695, 33.24°, intensity 100
- d 1.906, 47.72°, intensity 18
- d 1.556, 59.39°, intensity 37
- d 1.348, 69.78°, intensity 11
- d 1.205, 79.51°, intensity 16